[1]
# In2AsSe
Theoretical XRD peak list, Cu Ka. Input: a crystal structure in the Materials Project, relaxed with GGA-PBE.
Peak positions follow from Bragg's law for the DFT cell and can differ from measured ones.

Crystal structure
abc: 4.553 4.553 6.319
angles: 90.00 90.00 90.00
Space group P-4m2 (No. 115)
Asymmetric unit:
In (0.000, 0.500, 0.241) (multiplicity 2)
As (0.500, 0.500, 0.000) (multiplicity 1)
Se (0.000, 0.000, 0.500) (multiplicity 1)

Peak list (8 most intense, 10 to 90 degrees two-theta, low angle first)
d/Å, 2θ (°), I/Imax, (hkl)
3.694, 24.1, 100, 1 0 1
2.277, 39.6, 26, 2 0 0
2.255, 40.0, 50, 1 1 2
1.938, 46.9, 33, 2 1 1
1.912, 47.6, 15, 1 0 3
1.610, 57.2, 9, 2 2 0
1.464, 63.5, 13, 2 1 3
1.310, 72.1, 17, 3 1 2


[2]
# In2AsSe
Theoretical XRD peak list, Cu Ka. Input: a crystal structure in the Materials Project, relaxed with GGA-PBE.
Peak positions follow from Bragg's law for the DFT cell and can differ from measured ones.

Crystal structure
abc: 6.372 6.397 12.866
angles: 90.00 90.00 90.00
Space group I2_12_12_1 (No. 24)
Asymmetric unit:
In (0.243, 0.000, 0.250) (multiplicity 4)
In (0.250, 0.487, 0.500) (multiplicity 4)
As (0.000, 0.250, 0.372) (multiplicity 4)
Se (0.000, 0.250, 0.877) (multiplicity 4)

Peak list (8 most intense, 10 to 90 degrees two-theta, low angle first)
d/Å, 2θ (°), I/Imax, (hkl)
3.695, 24.1, 100, 1 1 2
2.266, 39.8, 51, 2 0 4
2.257, 39.9, 25, 2 2 0
1.937, 46.9, 16, 1 1 6
1.929, 47.1, 16, 1 3 2
1.924, 47.3, 16, 3 1 2
1.310, 72.1, 8, 2 2 8
1.304, 72.5, 8, 4 2 4


[3]
# In4As3Se
Theoretical XRD peak list, Cu Ka. Input: a crystal structure in the Materials Project, relaxed with GGA-PBE.
Peak positions follow from Bragg's law for the DFT cell and can differ from measured ones.

Crystal structure
abc: 6.306 6.306 12.608
angles: 90.00 90.00 90.00
Space group I-42m (No. 121)
Asymmetric unit:
In (0.244, 0.244, 0.128) (multiplicity 8)
As (0.000, 0.000, 0.000) (multiplicity 2)
As (0.000, 0.500, 0.250) (multiplicity 4)
Se (0.000, 0.000, 0.500) (multiplicity 2)

Peak list (8 most intense, 10 to 90 degrees two-theta, low angle first)
d/Å, 2θ (°), I/Imax, (hkl)
3.640, 24.5, 100, 1 1 2
2.229, 40.5, 75, 2 2 0
1.901, 47.8, 47, 3 1 2
1.576, 58.6, 12, 4 0 0
1.447, 64.4, 19, 3 3 2
1.287, 73.6, 24, 4 2 4
1.213, 78.9, 14, 5 1 2
1.115, 87.5, 8, 4 4 0


[4]
# ZnIn3AsSe4
Theoretical XRD peak list, Cu Ka. Input: a crystal structure in the Materials Project, relaxed with GGA-PBE.
Peak positions follow from Bragg's law for the DFT cell and can differ from measured ones.

Crystal structure
abc: 5.976 7.275 7.319
angles: 80.09 66.01 65.82
Space group P1 (No. 1)
Asymmetric unit:
Zn (0.000, 0.000, 0.000) (multiplicity 1)
In (0.410, 0.392, 0.810) (multiplicity 1)
In (0.625, 0.599, 0.195) (multiplicity 1)
In (0.816, 0.797, 0.603) (multiplicity 1)
As (0.439, 0.713, 0.906) (multiplicity 1)
Se (0.065, 0.275, 0.114) (multiplicity 1)
Se (0.270, 0.477, 0.492) (multiplicity 1)
Se (0.659, 0.915, 0.298) (multiplicity 1)
Se (0.883, 0.101, 0.697) (multiplicity 1)

Peak list (8 most intense, 10 to 90 degrees two-theta, low angle first)
d/Å, 2θ (°), I/Imax, (hkl)
3.449, 25.8, 38, 1 1 -1
3.442, 25.9, 100, 1 0 2
2.117, 42.7, 17, 2 0 -1
2.111, 42.8, 34, 2 2 3
2.104, 43.0, 48, 2 -1 2
1.804, 50.6, 20, 1 0 -3
1.801, 50.7, 21, 3 3 2
1.220, 78.4, 11, 2 1 6


[5]
# SrIn2As2
Theoretical XRD peak list, Cu Ka. Input: a crystal structure in the Materials Project, relaxed with GGA-PBE.
Peak positions follow from Bragg's law for the DFT cell and can differ from measured ones.

Crystal structure
abc: 4.3242 4.3242 18.2724
angles: 90.00 90.00 120.00
Space group P6_3/mmc (No. 194)
Asymmetric unit:
Sr (0.0000, 0.0000, 0.0000) (multiplicity 2)
In (0.3333, 0.6667, 0.1725) (multiplicity 4)
As (0.3333, 0.6667, 0.6083) (multiplicity 4)

Peak list (8 most intense, 10 to 90 degrees two-theta, low angle first)
d/Å, 2θ (°), I/Imax, (hkl)
3.669, 24.3, 33, 1 0 1
3.465, 25.7, 62, 1 0 2
3.190, 28.0, 53, 1 0 3
2.896, 30.9, 83, 1 0 4
2.162, 41.8, 100, 1 1 0
2.141, 42.2, 93, 1 0 7
1.522, 60.9, 33, 2 0 7
1.244, 76.6, 40, 2 1 7


[6]
# In2TeAs
Theoretical XRD peak list, Cu Ka. Input: a crystal structure in the Materials Project, relaxed with GGA-PBE.
Peak positions follow from Bragg's law for the DFT cell and can differ from measured ones.

Crystal structure
abc: 4.6580 4.6580 23.1484
angles: 90.00 90.00 120.00
Space group R3m (No. 160, hexagonal axes)
Asymmetric unit:
In (0.0000, 0.0000, 0.0000) (multiplicity 3)
In (0.0000, 0.0000, 0.4794) (multiplicity 3)
Te (0.0000, 0.0000, 0.6125) (multiplicity 3)
As (0.0000, 0.0000, 0.1169) (multiplicity 3)

Peak list (8 most intense, 10 to 90 degrees two-theta, low angle first)
d/Å, 2θ (°), I/Imax, (hkl)
3.858, 23.1, 31, 0 0 6
3.809, 23.4, 100, 0 1 2
2.351, 38.3, 47, 0 1 8
2.329, 38.7, 53, 1 1 0
1.994, 45.5, 30, 1 1 6
1.987, 45.7, 16, 2 0 2
1.655, 55.5, 16, 2 0 8
1.349, 69.7, 15, 1 2 8


[7]
# In2TeAs
Theoretical XRD peak list, Cu Ka. Input: a crystal structure in the Materials Project, relaxed with GGA-PBE.
Peak positions follow from Bragg's law for the DFT cell and can differ from measured ones.

Crystal structure
abc: 4.701 4.701 6.584
angles: 90.00 90.00 90.00
Space group P-4m2 (No. 115)
Asymmetric unit:
In (0.000, 0.500, 0.219) (multiplicity 2)
Te (0.000, 0.000, 0.500) (multiplicity 1)
As (0.500, 0.500, 0.000) (multiplicity 1)

Peak list (8 most intense, 10 to 90 degrees two-theta, low angle first)
d/Å, 2θ (°), I/Imax, (hkl)
3.826, 23.2, 100, 1 0 1
2.351, 38.3, 27, 2 0 0
2.339, 38.5, 50, 1 1 2
2.003, 45.3, 33, 2 1 1
1.989, 45.6, 14, 1 0 3
1.662, 55.3, 9, 2 2 0
1.518, 61.0, 11, 2 1 3
1.355, 69.4, 17, 3 1 2


[8]
# As2Ir
Theoretical XRD peak list, Cu Ka. Input: a crystal structure in the Materials Project, relaxed with GGA-PBE.
Peak positions follow from Bragg's law for the DFT cell and can differ from measured ones.

Crystal structure
abc: 6.143 6.152 6.249
angles: 90.00 113.03 90.00
Space group P2_1/c (No. 14)
Asymmetric unit:
As (0.154, 0.127, 0.375) (multiplicity 4)
As (0.338, 0.630, 0.685) (multiplicity 4)
Ir (0.272, 0.000, 0.792) (multiplicity 4)

Peak list (8 most intense, 10 to 90 degrees two-theta, low angle first)
d/Å, 2θ (°), I/Imax, (hkl)
3.957, 22.5, 100, 1 1 -1
3.076, 29.0, 41, 0 2 0
2.875, 31.1, 48, 0 0 2
2.827, 31.7, 59, 2 0 0
1.970, 46.1, 33, 1 1 -3
1.939, 46.9, 45, 3 1 -1
1.906, 47.7, 34, 1 3 -1
1.758, 52.0, 41, 1 3 1


What did the fourth record say?
# ZnIn3AsSe4
Theoretical XRD peak list, Cu Ka. Input: a crystal structure in the Materials Project, relaxed with GGA-PBE.
Peak positions follow from Bragg's law for the DFT cell and can differ from measured ones.

Crystal structure
abc: 5.976 7.275 7.319
angles: 80.09 66.01 65.82
Space group P1 (No. 1)
Asymmetric unit:
Zn (0.000, 0.000, 0.000) (multiplicity 1)
In (0.410, 0.392, 0.810) (multiplicity 1)
In (0.625, 0.599, 0.195) (multiplicity 1)
In (0.816, 0.797, 0.603) (multiplicity 1)
As (0.439, 0.713, 0.906) (multiplicity 1)
Se (0.065, 0.275, 0.114) (multiplicity 1)
Se (0.270, 0.477, 0.492) (multiplicity 1)
Se (0.659, 0.915, 0.298) (multiplicity 1)
Se (0.883, 0.101, 0.697) (multiplicity 1)

Peak list (8 most intense, 10 to 90 degrees two-theta, low angle first)
d/Å, 2θ (°), I/Imax, (hkl)
3.449, 25.8, 38, 1 1 -1
3.442, 25.9, 100, 1 0 2
2.117, 42.7, 17, 2 0 -1
2.111, 42.8, 34, 2 2 3
2.104, 43.0, 48, 2 -1 2
1.804, 50.6, 20, 1 0 -3
1.801, 50.7, 21, 3 3 2
1.220, 78.4, 11, 2 1 6